Record 1
Structure and theoretical powder X-ray diffraction pattern of Na2Ni2AsO6 (the GGA+U geometry in Alexandria; λ = 1.5418 Å (Cu Kα)).
Peak positions follow from Bragg's law for the DFT cell and can differ from measured ones.

Largest 10 diffraction maxima, sorted by position, 5° ≤ 2θ ≤ 70°:
2θ = 16.2°, I 100; 2θ = 32.7°, I 15; 2θ = 36.0°, I 15; 2θ = 37.0°, I 17; 2θ = 40.4°, I 27; 2θ = 42.3°, I 49; 2θ = 53.7°, I 10; 2θ = 57.3°, I 15; 2θ = 62.4°, I 13; 2θ = 64.3°, I 10

Cell and atoms:
Unit cell a=5.207 b=8.693 c=5.803 alpha=90.00 beta=109.45 gamma=90.00
Space group C2/m (No. 12)
Asymmetric unit:
Na 0.000 0.175 0.000 (multiplicity 4)
Ni 0.000 0.334 0.500 (multiplicity 4)
As 0.000 0.000 0.500 (multiplicity 2)
O 0.214 0.156 0.692 (multiplicity 8)
O 0.238 0.000 0.316 (multiplicity 4)

Record 2
Structure and theoretical powder X-ray diffraction pattern of Li3CrBAsO7 (the GGA+U geometry in Alexandria; λ = 1.5418 Å (Cu Kα)).
Peak positions follow from Bragg's law for the DFT cell and can differ from measured ones.

Largest 10 diffraction maxima, sorted by position, 5° ≤ 2θ ≤ 70°:
2θ = 10.4°, I 100; 2θ = 19.4°, I 38; 2θ = 21.1°, I 33; 2θ = 25.2°, I 38; 2θ = 26.0°, I 34; 2θ = 27.3°, I 72; 2θ = 34.7°, I 17; 2θ = 35.8°, I 18; 2θ = 44.7°, I 19; 2θ = 56.4°, I 20

Cell and atoms:
Unit cell a=5.126 b=6.526 c=8.556 alpha=90.00 beta=95.41 gamma=90.00
Space group P2_1/m (No. 11)
Asymmetric unit:
Li 0.235 0.250 0.093 (multiplicity 2)
Li 0.254 0.007 0.772 (multiplicity 4)
Cr 0.212 0.750 0.311 (multiplicity 2)
B 0.301 0.750 0.037 (multiplicity 2)
As 0.271 0.250 0.422 (multiplicity 2)
O 0.045 0.750 0.085 (multiplicity 2)
O 0.138 0.250 0.598 (multiplicity 2)
O 0.172 0.055 0.294 (multiplicity 4)
O 0.366 0.750 0.887 (multiplicity 2)
O 0.394 0.750 0.533 (multiplicity 2)
O 0.492 0.750 0.167 (multiplicity 2)

Please write out number 1 again, unchanged.
Structure and theoretical powder X-ray diffraction pattern of Na2Ni2AsO6 (the GGA+U geometry in Alexandria; λ = 1.5418 Å (Cu Kα)).
Peak positions follow from Bragg's law for the DFT cell and can differ from measured ones.

Largest 10 diffraction maxima, sorted by position, 5° ≤ 2θ ≤ 70°:
2θ = 16.2°, I 100; 2θ = 32.7°, I 15; 2θ = 36.0°, I 15; 2θ = 37.0°, I 17; 2θ = 40.4°, I 27; 2θ = 42.3°, I 49; 2θ = 53.7°, I 10; 2θ = 57.3°, I 15; 2θ = 62.4°, I 13; 2θ = 64.3°, I 10

Cell and atoms:
Unit cell a=5.207 b=8.693 c=5.803 alpha=90.00 beta=109.45 gamma=90.00
Space group C2/m (No. 12)
Asymmetric unit:
Na 0.000 0.175 0.000 (multiplicity 4)
Ni 0.000 0.334 0.500 (multiplicity 4)
As 0.000 0.000 0.500 (multiplicity 2)
O 0.214 0.156 0.692 (multiplicity 8)
O 0.238 0.000 0.316 (multiplicity 4)

Repeat the second record exactly.
Structure and theoretical powder X-ray diffraction pattern of Li3CrBAsO7 (the GGA+U geometry in Alexandria; λ = 1.5418 Å (Cu Kα)).
Peak positions follow from Bragg's law for the DFT cell and can differ from measured ones.

Largest 10 diffraction maxima, sorted by position, 5° ≤ 2θ ≤ 70°:
2θ = 10.4°, I 100; 2θ = 19.4°, I 38; 2θ = 21.1°, I 33; 2θ = 25.2°, I 38; 2θ = 26.0°, I 34; 2θ = 27.3°, I 72; 2θ = 34.7°, I 17; 2θ = 35.8°, I 18; 2θ = 44.7°, I 19; 2θ = 56.4°, I 20

Cell and atoms:
Unit cell a=5.126 b=6.526 c=8.556 alpha=90.00 beta=95.41 gamma=90.00
Space group P2_1/m (No. 11)
Asymmetric unit:
Li 0.235 0.250 0.093 (multiplicity 2)
Li 0.254 0.007 0.772 (multiplicity 4)
Cr 0.212 0.750 0.311 (multiplicity 2)
B 0.301 0.750 0.037 (multiplicity 2)
As 0.271 0.250 0.422 (multiplicity 2)
O 0.045 0.750 0.085 (multiplicity 2)
O 0.138 0.250 0.598 (multiplicity 2)
O 0.172 0.055 0.294 (multiplicity 4)
O 0.366 0.750 0.887 (multiplicity 2)
O 0.394 0.750 0.533 (multiplicity 2)
O 0.492 0.750 0.167 (multiplicity 2)